No. 1
Diffraction record for Cs2AuBr7. The powder X-ray diffraction pattern is computed, not measured: it uses the GGA-PBE geometry in Alexandria and Cu Kα X-rays.
Kinematic intensities with the Lorentz-polarization factor, no thermal factor.

Structural model:
a = 8.215 Å, b = 8.215 Å, c = 11.701 Å
α = 90.00°, β = 90.00°, γ = 90.00°
Space group I4/mmm (No. 139)
Symmetry-distinct sites (fractional):
Cs 0.000 0.500 0.250
Au 0.000 0.000 0.000
Br 0.000 0.000 0.280
Br 0.000 0.000 0.500
Br 0.215 0.215 0.000

Largest 10 diffraction maxima, in order of rising 2θ, 2θ from 5° to 70°:
index, d [Å], Rel. int.
1 0 1, 6.724, 29.2
2 0 0, 4.117, 100.0
2 0 2, 3.362, 47.1
0 0 4, 2.925, 42.5
2 2 0, 2.904, 80.4
3 1 2, 2.374, 22.7
2 2 4, 2.061, 54.4
4 0 0, 2.054, 25.9
4 2 0, 1.838, 23.7
4 0 4, 1.681, 24.9

=====

No. 2
Diffraction record for LaErCu2Se4. The powder X-ray diffraction pattern is computed, not measured: it uses the GGA-PBE geometry in Alexandria and Cu Kα X-rays.
Kinematic intensities with the Lorentz-polarization factor, no thermal factor.

Structural model:
a = 6.791 Å, b = 7.124 Å, c = 8.016 Å
α = 90.00°, β = 90.00°, γ = 90.00°
Space group I222 (No. 23)
Symmetry-distinct sites (fractional):
La 0.000 0.000 0.000
Er 0.000 0.000 0.500
Cu 0.000 0.500 0.157
Se 0.242 0.216 0.303

Largest 10 diffraction maxima, in order of rising 2θ, 2θ from 5° to 70°:
index, d [Å], Rel. int.
0 1 1, 5.325, 18.5
1 1 0, 4.915, 26.1
1 1 2, 3.106, 100.0
0 2 2, 2.662, 45.8
2 0 2, 2.591, 46.5
2 2 0, 2.458, 86.2
1 3 2, 1.956, 25.9
3 1 2, 1.900, 25.4
1 1 4, 1.856, 37.0
3 1 4, 1.468, 26.6

=====

No. 3
Diffraction record for Ca2SnS4. The powder X-ray diffraction pattern is computed, not measured: it uses the GGA-PBE geometry in Alexandria and Cu Kα X-rays.
Kinematic intensities with the Lorentz-polarization factor, no thermal factor.

Structural model:
a = 10.971 Å, b = 8.608 Å, c = 7.327 Å
α = 90.00°, β = 90.00°, γ = 90.00°
Space group Pnma (No. 62)
Symmetry-distinct sites (fractional):
Ca 0.191 0.005 0.118
Sn 0.028 0.250 0.604
S 0.061 0.011 0.771
S 0.193 0.750 0.399
S 0.200 0.250 0.394

Largest 10 diffraction maxima, in order of rising 2θ, 2θ from 5° to 70°:
index, d [Å], Rel. int.
1 0 1, 6.093, 56.5
0 1 1, 5.579, 40.7
2 1 1, 3.912, 35.8
1 2 1, 3.515, 100.0
1 1 2, 3.222, 51.9
1 2 2, 2.704, 30.4
4 0 1, 2.569, 45.7
3 2 2, 2.218, 28.7
0 4 0, 2.152, 34.1
5 2 1, 1.889, 23.0

=====

No. 4
Diffraction record for Pr3Ga8Ag3. The powder X-ray diffraction pattern is computed, not measured: it uses the GGA-PBE geometry in Alexandria and Cu Kα X-rays.
Kinematic intensities with the Lorentz-polarization factor, no thermal factor.

Structural model:
a = 4.419 Å, b = 9.650 Å, c = 13.399 Å
α = 90.00°, β = 90.00°, γ = 90.00°
Space group Immm (No. 71)
Symmetry-distinct sites (fractional):
Pr 0.000 0.000 0.000
Pr 0.000 0.000 0.302
Ga 0.000 0.280 0.144
Ga 0.000 0.367 0.340
Ag 0.000 0.199 0.500
Ag 0.000 0.500 0.000

Largest 10 diffraction maxima, in order of rising 2θ, 2θ from 5° to 70°:
index, d [Å], Rel. int.
0 2 4, 2.752, 11.9
1 2 3, 2.633, 100.0
0 3 3, 2.610, 17.8
1 3 0, 2.601, 16.7
1 1 4, 2.573, 14.4
1 3 2, 2.424, 26.4
0 0 6, 2.233, 22.0
2 0 0, 2.209, 34.6
2 0 6, 1.571, 14.1
1 4 7, 1.420, 12.4